Starting from a PBE+U-relaxed structure, the XRD peak list of SrNdVO4 was computed for Cu Ka.
Kinematic intensities with the Lorentz-polarization factor, no thermal factor.

The 6 most intense peaks (2θ from 10° to 80°), low angle first:
h k l, d [Å], I (rel.)
1 0 1, 3.733, 29
1 0 3, 2.864, 100
1 1 0, 2.763, 69
1 1 4, 2.079, 31
2 0 0, 1.954, 37
2 1 3, 1.614, 37

```
SrNdVO4
1.0
3.9081 0.0000 0.0000
0.0000 3.9081 0.0000
0.0000 0.0000 12.6249
Sr Nd V O
2 2 2 8
Direct
0.0000 0.0000 0.0000
0.5000 0.5000 0.5000
0.0000 0.0000 0.7122
0.5000 0.5000 0.2122
0.0000 0.0000 0.3567
0.5000 0.5000 0.8567
0.0000 0.0000 0.1883
0.0000 0.0000 0.5296
0.0000 0.5000 0.3453
0.0000 0.5000 0.8453
0.5000 0.0000 0.3453
0.5000 0.0000 0.8453
0.5000 0.5000 0.0296
0.5000 0.5000 0.6883
```